# 1
This entry pairs a crystal structure of HoPaCo with its simulated PXRD pattern. Radiation: a wavelength of 1.5418 Å. Structure: a crystal structure in Alexandria, relaxed with GGA-PBE.
Neutral-atom scattering factors, no anomalous dispersion.

Largest 10 diffraction maxima, low angle first, 2θ from 10° to 90°:
3.280 Å, I 28; 3.108 Å, I 27; 2.995 Å, I 100; 2.804 Å, I 23; 2.745 Å, I 62; 2.372 Å, I 77; 1.931 Å, I 64; 1.703 Å, I 27; 1.590 Å, I 26; 1.497 Å, I 18

Structural model:
```
HoPaCo
1.0
1.931 1.115 11.215
-1.931 1.115 11.215
0.000 -2.230 11.215
Ho Pa Co
2 2 2
Cartesian
0.000 0.000 3.943
0.000 0.000 29.702
0.000 0.000 10.148
0.000 0.000 23.497
0.000 0.000 13.536
0.000 0.000 20.110
```

***

# 2
This entry pairs a crystal structure of TbHo2PaCo2 with its simulated PXRD pattern. Radiation: a wavelength of 1.5418 Å. Structure: a crystal structure in Alexandria, relaxed with GGA-PBE.
Neutral-atom scattering factors, no anomalous dispersion.

Largest 10 diffraction maxima, low angle first, 2θ from 10° to 90°:
6.277 Å, I 21; 6.016 Å, I 22; 3.138 Å, I 25; 3.008 Å, I 78; 2.961 Å, I 100; 2.626 Å, I 51; 2.398 Å, I 77; 1.906 Å, I 24; 1.679 Å, I 16; 1.466 Å, I 19

Structural model:
```
TbHo2PaCo2
1.0
-3.428 6.277 3.358
3.428 -6.277 3.358
3.428 6.277 -3.358
Tb Ho Pa Co
2 4 2 4
Cartesian
0.000 0.000 1.679
0.000 0.000 5.036
4.780 2.539 0.000
1.353 3.738 0.000
2.075 2.539 3.358
-1.353 3.738 3.358
3.428 0.000 1.679
0.000 6.277 1.679
2.024 1.130 0.000
2.024 -1.130 3.358
1.403 7.407 0.000
1.403 5.146 3.358
```

***

# 3
This entry pairs a crystal structure of HoCo4Pd with its simulated PXRD pattern. Radiation: a wavelength of 1.5418 Å. Structure: a crystal structure in Alexandria, relaxed with GGA-PBE.
Neutral-atom scattering factors, no anomalous dispersion.

Largest 10 diffraction maxima, low angle first, 2θ from 10° to 90°:
4.016 Å, I 11; 3.478 Å, I 3; 2.459 Å, I 58; 2.097 Å, I 100; 2.008 Å, I 18; 1.596 Å, I 3; 1.420 Å, I 21; 1.339 Å, I 30; 1.230 Å, I 22; 1.100 Å, I 9

Structural model:
```
HoCo4Pd
1.0
0.000 3.478 3.478
3.478 0.000 3.478
3.478 3.478 0.000
Ho Co Pd
1 4 1
Cartesian
0.000 0.000 0.000
4.341 2.614 2.614
2.614 4.341 2.614
2.614 2.614 4.341
4.341 4.341 4.341
1.739 1.739 1.739
```

***

# 4
This entry pairs a crystal structure of Ho7Co2Pd2 with its simulated PXRD pattern. Radiation: a wavelength of 1.5418 Å. Structure: a crystal structure in Alexandria, relaxed with GGA-PBE.
Neutral-atom scattering factors, no anomalous dispersion.

Largest 10 diffraction maxima, low angle first, 2θ from 10° to 90°:
3.031 Å, I 24; 2.990 Å, I 25; 2.870 Å, I 34; 2.850 Å, I 54; 2.636 Å, I 56; 2.547 Å, I 100; 2.514 Å, I 48; 2.269 Å, I 27; 1.859 Å, I 27; 1.520 Å, I 27

Structural model:
```
Ho7Co2Pd2
1.0
-1.859 7.545 4.642
1.859 -7.545 4.642
1.859 7.545 -4.642
Ho Co Pd
7 2 2
Cartesian
0.000 0.000 0.000
1.859 2.865 -0.991
1.859 -2.060 2.320
1.859 2.060 2.320
1.859 5.751 0.888
0.000 4.680 3.651
0.000 1.794 5.530
0.000 3.659 0.900
0.000 11.430 0.900
0.000 0.000 3.169
0.000 7.545 2.462
```

***

# 5
This entry pairs a crystal structure of Ho3CoPd with its simulated PXRD pattern. Radiation: a wavelength of 1.5418 Å. Structure: a crystal structure in Alexandria, relaxed with GGA-PBE.
Neutral-atom scattering factors, no anomalous dispersion.

Largest 10 diffraction maxima, low angle first, 2θ from 10° to 90°:
2.856 Å, I 88; 2.832 Å, I 100; 2.788 Å, I 62; 2.689 Å, I 90; 2.642 Å, I 46; 2.562 Å, I 61; 2.387 Å, I 49; 2.151 Å, I 39; 1.894 Å, I 48; 1.556 Å, I 33

Structural model:
```
Ho3CoPd
1.0
7.688 -1.894 0.000
7.688 1.894 0.000
-0.166 0.000 7.925
Ho Co Pd
6 2 2
Cartesian
0.850 0.000 2.475
3.570 0.000 5.492
6.074 0.000 0.399
9.137 0.000 7.526
11.641 0.000 2.432
14.360 0.000 5.450
3.274 0.000 0.516
11.937 0.000 7.409
6.164 0.000 3.358
9.047 0.000 4.566
```

***

# 6
This entry pairs a crystal structure of Ho5Co2Pd with its simulated PXRD pattern. Radiation: a wavelength of 1.5418 Å. Structure: a crystal structure in Alexandria, relaxed with GGA-PBE.
Neutral-atom scattering factors, no anomalous dispersion.

Largest 10 diffraction maxima, low angle first, 2θ from 10° to 90°:
3.141 Å, I 32; 2.877 Å, I 29; 2.649 Å, I 100; 2.549 Å, I 22; 2.505 Å, I 73; 2.280 Å, I 53; 1.694 Å, I 16; 1.636 Å, I 20; 1.527 Å, I 27; 1.384 Å, I 19

Structural model:
```
Ho5Co2Pd
1.0
-3.605 3.605 6.969
3.605 -3.605 6.969
3.605 3.605 -6.969
Ho Co Pd
10 4 2
Cartesian
0.000 0.000 0.000
4.856 1.252 -1.930
1.252 2.353 -1.930
4.856 1.252 1.930
1.252 2.353 1.930
0.000 0.000 6.969
2.353 1.252 5.039
-1.252 2.353 5.039
2.353 1.252 8.899
-1.252 2.353 8.899
2.773 0.831 0.000
2.773 -0.831 6.969
0.831 4.436 0.000
0.831 2.773 6.969
0.000 0.000 3.485
0.000 0.000 10.454
```

***

# 7
This entry pairs a crystal structure of Ho8Co3Pd2 with its simulated PXRD pattern. Radiation: a wavelength of 1.5418 Å. Structure: a crystal structure in Alexandria, relaxed with GGA-PBE.
Neutral-atom scattering factors, no anomalous dispersion.

Largest 10 diffraction maxima, low angle first, 2θ from 10° to 90°:
3.432 Å, I 18; 3.345 Å, I 35; 2.395 Å, I 100; 2.379 Å, I 25; 2.352 Å, I 24; 1.673 Å, I 17; 1.378 Å, I 8; 1.375 Å, I 9; 1.367 Å, I 8; 1.366 Å, I 8

Structural model:
```
Ho8Co3Pd2
1.0
8.339 0.000 0.000
0.000 4.704 0.000
-2.936 0.000 7.833
Ho Co Pd
8 3 2
Cartesian
-0.139 0.000 3.012
-1.429 2.352 6.804
1.240 2.352 4.986
2.823 0.000 0.915
2.580 0.000 6.917
4.164 2.352 2.847
6.832 2.352 1.028
5.542 0.000 4.821
-0.095 0.000 5.896
4.169 2.352 0.000
5.498 0.000 1.936
1.325 2.352 1.970
4.078 2.352 5.862
```

***

# 8
This entry pairs a crystal structure of Ho4Co2Pd with its simulated PXRD pattern. Radiation: a wavelength of 1.5418 Å. Structure: a crystal structure in Alexandria, relaxed with GGA-PBE.
Neutral-atom scattering factors, no anomalous dispersion.

Largest 10 diffraction maxima, low angle first, 2θ from 10° to 90°:
2.982 Å, I 31; 2.688 Å, I 100; 2.650 Å, I 52; 2.271 Å, I 36; 2.263 Å, I 32; 2.249 Å, I 14; 1.732 Å, I 13; 1.668 Å, I 21; 1.659 Å, I 14; 1.651 Å, I 17

Structural model:
```
Ho4Co2Pd
1.0
5.965 -4.254 0.000
5.965 4.254 0.000
-5.863 0.000 5.966
Ho Co Pd
8 4 2
Cartesian
2.202 2.168 1.537
-0.754 0.000 1.570
-1.352 1.041 5.159
3.864 2.168 4.429
1.476 -1.038 3.768
7.419 1.041 0.807
4.590 -1.038 2.198
6.820 0.000 4.396
0.794 1.607 3.711
5.272 1.607 2.255
5.965 -1.588 0.000
3.033 -3.719 2.983
2.245 -0.522 0.748
3.821 -0.522 5.218
```

***

# 9
This entry pairs a crystal structure of HoTmCoPd with its simulated PXRD pattern. Radiation: a wavelength of 1.5418 Å. Structure: a crystal structure in Alexandria, relaxed with GGA-PBE.
Neutral-atom scattering factors, no anomalous dispersion.

Largest 10 diffraction maxima, low angle first, 2θ from 10° to 90°:
3.420 Å, I 6; 3.370 Å, I 13; 2.401 Å, I 100; 2.383 Å, I 50; 1.955 Å, I 6; 1.710 Å, I 8; 1.685 Å, I 17; 1.389 Å, I 17; 1.379 Å, I 34; 1.200 Å, I 10

Structural model:
```
HoTmCoPd
1.0
3.370 0.000 0.000
0.000 3.370 0.000
0.000 0.000 6.840
Ho Tm Co Pd
1 1 1 1
Cartesian
0.000 0.000 0.000
0.000 0.000 3.602
1.685 1.685 5.204
1.685 1.685 1.832
```

***

# 10
This entry pairs a crystal structure of Pm3HoCo with its simulated PXRD pattern. Radiation: a wavelength of 1.5418 Å. Structure: a crystal structure in Alexandria, relaxed with GGA-PBE.
Neutral-atom scattering factors, no anomalous dispersion.

Largest 10 diffraction maxima, low angle first, 2θ from 10° to 90°:
3.150 Å, I 84; 2.910 Å, I 64; 2.869 Å, I 22; 2.808 Å, I 100; 2.331 Å, I 22; 2.136 Å, I 24; 1.794 Å, I 37; 1.767 Å, I 18; 1.722 Å, I 28; 1.603 Å, I 18

Structural model:
```
Pm3HoCo
1.0
-4.662 3.725 4.272
4.662 -3.725 4.272
4.662 3.725 -4.272
Pm Ho Co
6 2 2
Cartesian
0.332 1.866 0.000
4.331 1.866 0.000
-2.331 3.566 2.142
0.332 1.859 4.272
4.331 1.859 4.272
2.331 3.884 2.142
2.331 -0.227 2.131
6.994 0.227 2.131
2.331 -1.851 4.273
2.331 5.576 0.000
```

***

# 11
This entry pairs a crystal structure of Pm2HoCo with its simulated PXRD pattern. Radiation: a wavelength of 1.5418 Å. Structure: a crystal structure in Alexandria, relaxed with GGA-PBE.
Neutral-atom scattering factors, no anomalous dispersion.

Largest 10 diffraction maxima, low angle first, 2θ from 10° to 90°:
3.269 Å, I 12; 3.133 Å, I 20; 2.898 Å, I 100; 2.262 Å, I 27; 1.887 Å, I 25; 1.760 Å, I 23; 1.617 Å, I 18; 1.581 Å, I 11; 1.213 Å, I 9; 1.206 Å, I 11

Structural model:
```
Pm2HoCo
1.0
6.546 0.000 0.000
0.000 6.267 0.000
0.000 0.000 11.310
Pm Ho Co
8 4 4
Cartesian
0.577 1.546 0.976
0.577 1.587 4.679
2.696 4.680 4.679
2.696 4.721 0.976
3.850 1.546 10.335
3.850 1.587 6.631
5.969 4.680 6.631
5.969 4.721 10.335
0.533 1.567 8.483
2.740 4.700 8.483
3.806 1.567 2.828
6.013 4.700 2.828
1.636 0.000 10.305
1.636 3.133 6.661
4.909 0.000 1.006
4.909 3.133 4.649
```

***

# 12
This entry pairs a crystal structure of PrHoCo4 with its simulated PXRD pattern. Radiation: a wavelength of 1.5418 Å. Structure: a crystal structure in Alexandria, relaxed with GGA-PBE.
Neutral-atom scattering factors, no anomalous dispersion.

Largest 10 diffraction maxima, low angle first, 2θ from 10° to 90°:
3.356 Å, I 17; 2.606 Å, I 100; 2.069 Å, I 14; 1.938 Å, I 34; 1.761 Å, I 6; 1.555 Å, I 20; 1.414 Å, I 24; 1.276 Å, I 10; 1.213 Å, I 12; 1.212 Å, I 6

Structural model:
```
PrHoCo4
1.0
3.871 0.000 0.000
0.000 4.137 0.000
0.000 0.000 6.719
Pr Ho Co
1 1 4
Cartesian
0.000 0.000 0.000
1.936 0.000 3.360
0.000 2.069 2.259
0.000 2.069 4.460
1.936 2.069 1.145
1.936 2.069 5.575
```